# 1
Structure and simulated XRD peak list of La4Dy11S22 (a crystal structure in OQMD, relaxed with GGA-PBE; Cu Kα X-rays).

Most intense lines, 15° ≤ 2θ ≤ 90°, in order of falling intensity:
Position (°2θ)	d/Å	intensity
24.1	3.686	100.0
23.4	3.807	79.1
31.2	2.865	66.5
27.4	3.252	66.4
26.2	3.406	60.8
41.8	2.159	58.3
33.7	2.661	56.6
27.2	3.284	46.7

Structure:
```
37
Lattice="19.672 -1.992 0.000 19.672 1.992 0.000 -0.330 0.000 11.420" Properties=species:S:1:pos:R:3 pbc="T T T"
La 4.110 0.000 0.124
La 14.330 0.000 3.976
La 24.684 0.000 7.444
La 34.904 0.000 11.296
Dy 0.000 0.000 0.000
Dy 2.647 0.000 4.123
Dy 7.657 0.000 10.745
Dy 10.245 0.000 4.017
Dy 13.229 0.000 7.997
Dy 18.091 0.000 3.080
Dy 20.923 0.000 8.340
Dy 25.785 0.000 3.423
Dy 28.769 0.000 7.403
Dy 31.357 0.000 0.675
Dy 36.367 0.000 7.297
S 0.242 0.000 2.738
S 3.196 0.000 8.600
S 5.186 0.000 5.169
S 6.592 0.000 1.717
S 7.222 0.000 7.887
S 9.981 0.000 1.360
S 10.827 0.000 6.728
S 13.733 0.000 1.057
S 15.757 0.000 9.000
S 17.265 0.000 5.614
S 17.817 0.000 0.347
S 21.196 0.000 11.072
S 21.748 0.000 5.806
S 23.256 0.000 2.419
S 25.280 0.000 10.363
S 28.186 0.000 4.691
S 29.032 0.000 10.060
S 31.792 0.000 3.533
S 32.422 0.000 9.703
S 33.827 0.000 6.251
S 35.818 0.000 2.819
S 38.772 0.000 8.682
```


# 2
Structure and simulated XRD peak list of LaDy3Se6 (a crystal structure in OQMD, relaxed with GGA-PBE; Cu Kα X-rays).

Most intense lines, 15° ≤ 2θ ≤ 90°, in order of falling intensity:
Position (°2θ)	d/Å	intensity
29.5	3.027	100.0
40.1	2.251	92.7
32.5	2.752	70.2
43.4	2.083	67.7
25.0	3.557	55.8
22.9	3.878	54.9
30.6	2.925	47.8
41.7	2.167	45.3

Structure:
```
20
Lattice="11.635 0.000 0.000 0.000 4.166 0.000 -3.900 0.000 11.268" Properties=species:S:1:pos:R:3 pbc="T T T"
La -0.194 1.041 2.200
La 7.929 3.124 9.068
Dy -0.439 1.041 6.611
Dy 3.724 3.124 0.002
Dy 3.835 1.041 3.762
Dy 3.900 3.124 7.506
Dy 4.011 1.041 11.265
Dy 8.173 3.124 4.657
Se -0.609 3.124 4.580
Se -2.373 1.041 10.868
Se -0.629 3.124 8.451
Se 2.192 3.124 2.572
Se 2.392 1.041 6.283
Se 5.150 1.041 1.278
Se 2.585 3.124 9.989
Se 5.343 3.124 4.984
Se 5.543 1.041 8.695
Se 8.363 1.041 2.817
Se 10.108 3.124 0.399
Se 8.344 1.041 6.687
```


# 3
Structure and simulated XRD peak list of Li3NdDy2Sn3 (a crystal structure in OQMD, relaxed with GGA-PBE; Cu Kα X-rays).

Most intense lines, 15° ≤ 2θ ≤ 90°, in order of falling intensity:
Position (°2θ)	d/Å	intensity
32.6	2.743	100.0
38.2	2.356	54.5
51.1	1.787	28.6
21.8	4.081	27.7
65.6	1.424	27.3
63.9	1.456	22.1
27.1	3.290	19.8
23.2	3.831	19.1

Structure:
```
9
Lattice="4.712 0.000 0.000 -2.356 4.081 0.000 0.000 0.000 11.117" Properties=species:S:1:pos:R:3 pbc="T T T"
Li 0.000 0.000 0.000
Li 0.000 2.721 3.398
Li 0.000 2.721 7.718
Nd 2.356 1.360 5.558
Dy 2.356 1.360 1.793
Dy 2.356 1.360 9.323
Sn 0.000 0.000 3.552
Sn 0.000 0.000 7.564
Sn 0.000 2.721 0.000
```


# 4
Structure and simulated XRD peak list of Li8Dy4O11 (a crystal structure in OQMD, relaxed with GGA-PBE; Cu Kα X-rays).

Most intense lines, 15° ≤ 2θ ≤ 90°, in order of falling intensity:
Position (°2θ)	d/Å	intensity
18.1	4.889	100.0
20.1	4.414	42.6
23.3	3.818	36.0
36.1	2.487	23.0
39.2	2.297	21.4
31.4	2.849	20.6
37.0	2.431	17.9
44.6	2.032	17.6

Structure:
```
23
Lattice="5.111 0.000 0.000 -0.737 5.779 0.000 -2.230 -1.724 8.847" Properties=species:S:1:pos:R:3 pbc="T T T"
Li 0.000 0.000 0.000
Li -1.544 -0.877 6.094
Li -2.090 1.969 7.705
Li -0.385 0.650 4.547
Li 1.771 4.721 0.485
Li 2.375 1.075 5.201
Li 4.169 -0.295 2.200
Li 4.256 3.343 1.023
Dy 0.033 2.965 6.237
Dy 0.373 0.103 7.813
Dy 1.084 4.389 3.581
Dy 1.906 1.525 2.192
O -1.105 1.080 6.326
O -0.910 4.477 4.707
O -1.468 3.892 7.583
O 0.139 5.297 1.819
O 0.924 2.636 0.429
O 0.993 2.198 4.276
O 1.665 -0.701 6.004
O 2.619 3.652 2.054
O 1.195 2.193 7.980
O 3.500 0.911 0.740
O 3.102 0.368 3.605
```


# 5
Structure and simulated XRD peak list of Li6Dy2O7 (a crystal structure in OQMD, relaxed with GGA-PBE; Cu Kα X-rays).

Most intense lines, 15° ≤ 2θ ≤ 90°, in order of falling intensity:
Position (°2θ)	d/Å	intensity
15.4	5.743	100.0
16.5	5.369	41.5
22.2	4.003	39.1
30.7	2.912	32.7
25.9	3.444	24.9
27.3	3.269	24.0
22.0	4.036	23.3
38.8	2.320	22.9

Structure:
```
15
Lattice="5.466 0.000 0.000 1.017 5.461 0.000 0.631 2.129 5.743" Properties=species:S:1:pos:R:3 pbc="T T T"
Li 0.696 2.093 2.394
Li 2.791 4.360 1.709
Li 3.463 5.798 4.772
Li 3.651 1.792 0.970
Li 4.322 3.230 4.033
Li 6.417 5.497 3.349
Dy 1.633 3.342 5.289
Dy 5.481 4.248 0.453
O 0.662 1.622 4.279
O 1.806 2.888 0.846
O 2.678 4.380 3.597
O 2.733 0.000 0.000
O 4.436 3.209 2.145
O 5.308 4.702 4.897
O 6.452 5.967 1.464
```


# 6
Structure and simulated XRD peak list of Li2DyO4 (a crystal structure in OQMD, relaxed with GGA-PBE; Cu Kα X-rays).

Most intense lines, 15° ≤ 2θ ≤ 90°, in order of falling intensity:
Position (°2θ)	d/Å	intensity
29.0	3.081	100.0
17.6	5.031	79.1
34.1	2.627	65.4
51.4	1.779	39.1
45.4	1.999	33.0
54.7	1.677	27.7
60.1	1.540	22.8
82.9	1.164	21.3

Structure:
```
14
Lattice="0.000 4.357 4.357 4.357 0.000 4.357 4.357 4.357 0.000" Properties=species:S:1:pos:R:3 pbc="T T T"
Li 0.000 0.000 0.000
Li 2.179 2.179 0.000
Li 2.179 0.000 2.179
Li 0.000 2.179 2.179
Dy 3.268 3.268 3.268
Dy 5.446 5.446 5.446
O 6.664 4.229 4.229
O 2.050 2.050 2.050
O 4.485 4.485 2.050
O 4.485 2.050 4.485
O 4.229 6.664 4.229
O 4.229 4.229 6.664
O 6.664 6.664 6.664
O 2.050 4.485 4.485
```